Starting from a DFT-relaxed cell (GGA-PBE, Alexandria), the X-ray diffraction stick pattern of KRbH4Pd was computed for Cu Kα (weighted mean of Kα1 and Kα2).
Kinematic intensities with the Lorentz-polarization factor, no thermal factor.

Largest 10 diffraction maxima, most intense first, 10 to 90 degrees two-theta:
d [Å]  two_theta  I_rel
2.960  30.20  1000
2.822  31.71  249
2.802  31.94  244
6.647  13.32  243
1.988  45.63  181
1.654  55.55  170
1.647  55.84  167
2.210  40.83  144
1.480  62.78  127
2.216  40.73  83

```
KRbH4Pd
1.0
2.822 -6.647 0.000
2.822 6.647 0.000
0.000 0.000 5.604
K Rb H Pd
2 2 8 2
direct
0.116 0.884 0.750 K
0.884 0.116 0.250 K
0.399 0.601 0.750 Rb
0.601 0.399 0.250 Rb
0.000 0.500 0.000 H
0.000 0.500 0.500 H
0.119 0.881 0.250 H
0.377 0.623 0.250 H
0.500 0.000 0.000 H
0.500 0.000 0.500 H
0.623 0.377 0.750 H
0.881 0.119 0.750 H
0.249 0.751 0.250 Pd
0.751 0.249 0.750 Pd
```

=====

Starting from a DFT-relaxed cell (GGA-PBE, Alexandria), the X-ray diffraction stick pattern of KRb3H6Pd2 was computed for Cu Kα (weighted mean of Kα1 and Kα2).
Kinematic intensities with the Lorentz-polarization factor, no thermal factor.

Largest 10 diffraction maxima, most intense first, 10 to 90 degrees two-theta:
d [Å]  two_theta  I_rel
3.165  28.19  1000
3.140  28.42  749
1.823  50.05  295
2.229  40.46  289
1.639  56.13  230
2.440  36.84  227
1.827  49.90  198
3.831  23.22  140
1.413  66.11  126
1.583  58.30  126

```
KRb3H6Pd2
1.0
6.331 0.000 0.000
-3.165 5.482 0.000
0.000 0.000 7.661
K Rb H Pd
1 3 6 2
direct
0.000 0.000 0.000 K
0.000 0.000 0.500 Rb
0.333 0.667 0.222 Rb
0.667 0.333 0.778 Rb
0.178 0.357 0.766 H
0.178 0.822 0.766 H
0.357 0.178 0.234 H
0.643 0.822 0.766 H
0.822 0.178 0.234 H
0.822 0.643 0.234 H
0.333 0.667 0.757 Pd
0.667 0.333 0.243 Pd
```